1.
The following is a computed X-ray powder pattern of RbInO2. It was derived from DFT lattice parameters and positions (GGA-PBE), using Cu Kα (weighted mean of Kα1 and Kα2).
No peak broadening, texture or thermal motion is included.

Cell and atoms:
Lattice parameters (Å, degrees): 6.101 8.924 6.051 90.00 90.00 90.00
Space group Pna2_1 (No. 33)
One atom of each set of equivalent atoms:
1 Rb 0.029 0.124 0.000 x4
2 In 0.043 0.625 0.980 x4
3 O 0.018 0.576 0.642 x4
4 O 0.128 0.178 0.543 x4

Top 10 peaks for 10° ≤ 2θ ≤ 80°, most intense first:
d/Å	intensity	h k l
3.095	100	1 2 1
3.025	32	0 0 2
3.051	29	2 0 0
1.760	23	1 2 3
2.148	16	2 0 2
1.770	14	3 2 1
2.231	14	0 4 0
1.796	13	0 4 2
1.547	12	2 4 2
1.405	11	1 6 1

---

2.
The following is a computed X-ray powder pattern of RbInO2. It was derived from DFT lattice parameters and positions (GGA-PBE), using Cu Kα (weighted mean of Kα1 and Kα2).
No peak broadening, texture or thermal motion is included.

Cell and atoms:
Lattice parameters (Å, degrees): 9.788 9.788 13.557 90.00 100.14 90.00
Space group C2/c (No. 15)
One atom of each set of equivalent atoms:
1 Rb 0.032 0.188 0.380 x8
2 Rb 0.215 0.437 0.105 x8
3 In 0.101 0.188 0.656 x8
4 In 0.147 0.436 0.842 x8
5 O 0.000 0.068 0.750 x4
6 O 0.000 0.443 0.250 x4
7 O 0.046 0.312 0.934 x8
8 O 0.205 0.061 0.570 x8
9 O 0.244 0.312 0.749 x8

Top 10 peaks for 10° ≤ 2θ ≤ 80°, most intense first:
d/Å	intensity	h k l
3.090	100	3 1 -1
3.432	96	2 2 0
2.567	85	2 2 3
2.558	84	2 2 -4
3.336	80	0 0 4
3.050	64	1 3 -1
1.730	58	4 4 -1
3.225	50	2 2 -2
2.611	39	3 1 2
1.436	30	6 2 2

---

3.
The following is a computed X-ray powder pattern of RbInReO6. It was derived from DFT lattice parameters and positions (GGA-PBE), using Cu Kα (weighted mean of Kα1 and Kα2).
No peak broadening, texture or thermal motion is included.

Cell and atoms:
Lattice parameters (Å, degrees): 5.664 9.819 5.996 90.00 90.95 90.00
Space group C2 (No. 5)
One atom of each set of equivalent atoms:
1 Rb 0.000 0.000 0.000 x2
2 In 0.000 0.322 0.500 x2
3 Re 0.000 0.676 0.500 x2
4 O 0.090 0.512 0.335 x4
5 O 0.168 0.783 0.305 x4
6 O 0.228 0.192 0.314 x4

Top 10 peaks for 10° ≤ 2θ ≤ 80°, most intense first:
d/Å	intensity	h k l
5.995	100	0 0 1
2.833	85	2 0 0
3.798	80	0 2 1
3.824	62	1 1 -1
3.770	59	1 1 1
2.068	39	1 3 -2
4.908	38	0 2 0
2.998	29	0 0 2
2.571	28	1 3 -1
2.051	25	1 3 2

---

4.
The following is a computed X-ray powder pattern of RbSr2InO4. It was derived from DFT lattice parameters and positions (GGA-PBE), using Cu Kα (weighted mean of Kα1 and Kα2).
No peak broadening, texture or thermal motion is included.

Cell and atoms:
Lattice parameters (Å, degrees): 10.381 10.414 7.241 90.00 134.10 90.00
Space group C2/c (No. 15)
One atom of each set of equivalent atoms:
1 Rb 0.000 0.000 0.000 x4
2 Sr 0.000 0.500 0.000 x4
3 Sr 0.250 0.250 0.000 x4
4 In 0.250 0.250 0.500 x4
5 O 0.001 0.260 0.513 x8
6 O 0.226 0.451 0.476 x8

Top 10 peaks for 10° ≤ 2θ ≤ 80°, most intense first:
d/Å	intensity	h k l
2.602	100	0 0 2
3.031	82	2 2 0
2.973	77	2 2 -2
1.839	64	0 4 2
2.594	52	4 0 -2
1.864	18	4 0 0
1.810	17	4 0 -4
1.515	17	4 4 0
1.486	16	4 4 -4
1.573	15	2 6 0